No. 1
This entry pairs a crystal structure of Tc3Os with its calculated powder XRD pattern. Radiation: Cu Kα (λ = 1.5418 Å). Structure: the GGA-PBE geometry in the Materials Project.
Kinematic intensities with the Lorentz-polarization factor, no thermal factor.

Crystal structure
a b c (Å): 2.7644 2.7644 8.7681
angles (deg): 90.00 90.00 120.00
Space group P-6m2 (No. 187)
Inequivalent atoms, fractional coordinates:
Tc 0.0000 0.0000 0.0000 (multiplicity 1)
Tc 0.6667 0.3333 0.2510 (multiplicity 2)
Os 0.0000 0.0000 0.5000 (multiplicity 1)

Principal peaks in the range 5 to 70 degrees two-theta, by angle:
2θ 10.09, I = 20, (0 0 1)
2θ 37.57, I = 26, (1 0 0)
2θ 41.18, I = 25, (0 0 4)
2θ 43.05, I = 100, (1 0 2)
2θ 56.96, I = 16, (1 0 4)
2θ 67.80, I = 17, (1 1 0)

No. 2
This entry pairs a crystal structure of CuHSN4O4 with its calculated powder XRD pattern. Radiation: Cu Kα (λ = 1.5418 Å). Structure: the GGA-PBE geometry in the Materials Project.
Kinematic intensities with the Lorentz-polarization factor, no thermal factor.

Crystal structure
a b c (Å): 10.4187 8.3381 9.1930
angles (deg): 90.00 90.00 90.00
Space group Pnma (No. 62)
Inequivalent atoms, fractional coordinates:
Cu 0.0469 0.2500 0.1289 (multiplicity 4)
H 0.1812 0.2500 0.1892 (multiplicity 4)
S 0.2200 0.7500 0.0480 (multiplicity 4)
N 0.0110 0.5532 0.3112 (multiplicity 8)
N 0.0170 0.0505 0.2352 (multiplicity 8)
O 0.0725 0.7500 0.0192 (multiplicity 4)
O 0.2274 0.1035 0.4818 (multiplicity 8)
O 0.2286 0.7500 0.2078 (multiplicity 4)

Principal peaks in the range 5 to 70 degrees two-theta, by angle:
2θ 12.84, I = 94, (1 0 1)
2θ 16.69, I = 100, (1 1 1)
2θ 22.33, I = 69, (2 1 1)
2θ 23.70, I = 64, (1 1 2)
2θ 24.96, I = 77, (1 2 1)
2θ 25.85, I = 44, (2 0 2)

No. 3
This entry pairs a crystal structure of K3BiCl6 with its calculated powder XRD pattern. Radiation: Cu Kα (λ = 1.5418 Å). Structure: the GGA-PBE geometry in the Materials Project.
Kinematic intensities with the Lorentz-polarization factor, no thermal factor.

Crystal structure
a b c (Å): 11.3793 11.3793 11.3793
angles (deg): 90.00 90.00 90.00
Space group Fm-3m (No. 225)
Inequivalent atoms, fractional coordinates:
K 0.0000 0.0000 0.0000 (multiplicity 4)
K 0.2500 0.2500 0.2500 (multiplicity 8)
Bi 0.0000 0.0000 0.5000 (multiplicity 4)
Cl 0.0000 0.0000 0.2619 (multiplicity 24)

Principal peaks in the range 5 to 70 degrees two-theta, by angle:
2θ 13.48, I = 97, (1 1 1)
2θ 15.57, I = 97, (2 0 0)
2θ 22.09, I = 100, (2 2 0)
2θ 31.45, I = 93, (4 0 0)
2θ 35.27, I = 51, (4 2 0)
2θ 45.07, I = 63, (4 4 0)

No. 4
This entry pairs a crystal structure of MgSn2O4 with its calculated powder XRD pattern. Radiation: Cu Kα (λ = 1.5418 Å). Structure: the GGA-PBE geometry in the Materials Project.
Kinematic intensities with the Lorentz-polarization factor, no thermal factor.

Crystal structure
a b c (Å): 11.4489 6.6241 15.9906
angles (deg): 90.00 90.65 90.00
Space group Cm (No. 8)
Inequivalent atoms, fractional coordinates:
Mg 0.0000 0.0000 0.0000 (multiplicity 2)
Mg 0.0040 0.0000 0.2336 (multiplicity 2)
Mg 0.1652 0.5000 0.6615 (multiplicity 2)
Mg 0.1712 0.5000 0.2816 (multiplicity 2)
Mg 0.1774 0.5000 0.8981 (multiplicity 2)
Mg 0.3431 0.0000 0.5644 (multiplicity 2)
Sn 0.0083 0.0000 0.6158 (multiplicity 2)
Sn 0.0083 0.5000 0.1173 (multiplicity 2)
Sn 0.0899 0.2519 0.4468 (multiplicity 4)
Sn 0.1732 0.0000 0.7819 (multiplicity 2)
Sn 0.2522 0.2556 0.1174 (multiplicity 4)
Sn 0.3352 0.0000 0.9508 (multiplicity 2)
Sn 0.3367 0.5000 0.4470 (multiplicity 2)
Sn 0.3377 0.0000 0.3328 (multiplicity 2)
Sn 0.4225 0.2503 0.7820 (multiplicity 4)
O 0.0009 0.5000 0.8523 (multiplicity 2)
O 0.0044 0.0000 0.3715 (multiplicity 2)
O 0.0332 0.5000 0.3699 (multiplicity 2)
O 0.0680 0.2650 0.7020 (multiplicity 4)
O 0.0941 0.2746 0.1989 (multiplicity 4)
O 0.1667 0.0000 0.0502 (multiplicity 2)
O 0.1673 0.5000 0.0343 (multiplicity 2)
O 0.1739 0.5000 0.5268 (multiplicity 2)
O 0.1795 0.0000 0.5106 (multiplicity 2)
O 0.2405 0.2958 0.3706 (multiplicity 4)
O 0.2704 0.2615 0.8553 (multiplicity 4)
O 0.3235 0.5000 0.1997 (multiplicity 2)
O 0.3396 0.0000 0.1769 (multiplicity 2)
O 0.3455 0.5000 0.7082 (multiplicity 2)
O 0.3497 0.0000 0.7031 (multiplicity 2)
O 0.4184 0.2430 0.5082 (multiplicity 4)
O 0.4236 0.2507 0.0517 (multiplicity 4)
O 0.4870 0.5000 0.8627 (multiplicity 2)

Principal peaks in the range 5 to 70 degrees two-theta, by angle:
2θ 16.40, I = 53, (1 1 -1)
2θ 16.63, I = 64, (0 0 3)
2θ 31.72, I = 100, (2 2 1)
2θ 31.84, I = 45, (2 0 -5)
2θ 38.76, I = 61, (2 2 4)
2θ 55.55, I = 54, (0 4 0)

No. 5
This entry pairs a crystal structure of Rb2Te with its calculated powder XRD pattern. Radiation: Cu Kα (λ = 1.5418 Å). Structure: the GGA-PBE geometry in the Materials Project.
Kinematic intensities with the Lorentz-polarization factor, no thermal factor.

Crystal structure
a b c (Å): 8.1636 6.1277 10.6712
angles (deg): 90.00 90.00 90.00
Space group Pnma (No. 62)
Inequivalent atoms, fractional coordinates:
Rb 0.0024 0.2500 0.2424 (multiplicity 4)
Rb 0.2403 0.2500 0.5828 (multiplicity 4)
Te 0.2467 0.2500 0.9155 (multiplicity 4)

Principal peaks in the range 5 to 70 degrees two-theta, by angle:
2θ 27.54, I = 100, (2 1 1)
2θ 29.03, I = 70, (0 1 3)
2θ 29.15, I = 35, (0 2 0)
2θ 40.51, I = 23, (2 2 2)
2θ 50.54, I = 24, (2 2 4)
2θ 53.94, I = 35, (4 2 0)

No. 6
This entry pairs a crystal structure of UNiB4 with its calculated powder XRD pattern. Radiation: Cu Kα (λ = 1.5418 Å). Structure: the GGA-PBE geometry in the Materials Project.
Kinematic intensities with the Lorentz-polarization factor, no thermal factor.

Crystal structure
a b c (Å): 7.4622 7.4622 8.4829
angles (deg): 90.00 90.00 90.00
Space group I4/mmm (No. 139)
Inequivalent atoms, fractional coordinates:
U 0.0000 0.0000 0.1954 (multiplicity 4)
U 0.0000 0.5000 0.2500 (multiplicity 4)
Ni 0.0000 0.2275 0.5000 (multiplicity 8)
B 0.1106 0.2750 0.0000 (multiplicity 16)
B 0.2320 0.2320 0.3455 (multiplicity 16)

Principal peaks in the range 5 to 70 degrees two-theta, by angle:
2θ 23.85, I = 100, (2 0 0)
2θ 31.95, I = 96, (2 0 2)
2θ 33.94, I = 65, (2 2 0)
2θ 40.26, I = 95, (2 2 2)
2θ 48.80, I = 44, (4 0 0)
2θ 59.54, I = 32, (4 2 2)

No. 7
This entry pairs a crystal structure of KCu3GeSe4 with its calculated powder XRD pattern. Radiation: Cu Kα (λ = 1.5418 Å). Structure: the GGA-PBE geometry in the Materials Project.
Kinematic intensities with the Lorentz-polarization factor, no thermal factor.

Crystal structure
a b c (Å): 6.1952 6.1952 6.1952
angles (deg): 90.00 90.00 90.00
Space group P-43m (No. 215)
Inequivalent atoms, fractional coordinates:
K 0.0000 0.0000 0.0000 (multiplicity 1)
Cu 0.0000 0.5000 0.5000 (multiplicity 3)
Ge 0.5000 0.5000 0.5000 (multiplicity 1)
Se 0.2814 0.2814 0.7186 (multiplicity 4)

Principal peaks in the range 5 to 70 degrees two-theta, by angle:
2θ 14.30, I = 55, (1 0 0)
2θ 24.89, I = 88, (1 1 1)
2θ 41.21, I = 100, (2 2 0)
2θ 43.84, I = 14, (2 2 1)
2θ 48.75, I = 33, (3 1 1)
2θ 53.32, I = 19, (3 2 0)

No. 8
This entry pairs a crystal structure of LiMo6S8 with its calculated powder XRD pattern. Radiation: Cu Kα (λ = 1.5418 Å). Structure: the GGA-PBE geometry in the Materials Project.
Kinematic intensities with the Lorentz-polarization factor, no thermal factor.

Crystal structure
a b c (Å): 9.3825 9.3825 10.8882
angles (deg): 90.00 90.00 120.00
Space group R-3 (No. 148, hexagonal axes)
Inequivalent atoms, fractional coordinates:
Li 0.0000 0.0000 0.0000 (multiplicity 3)
Mo 0.0161 0.1752 0.3916 (multiplicity 18)
S 0.0000 0.0000 0.2209 (multiplicity 6)
S 0.0185 0.3838 0.2511 (multiplicity 18)

Principal peaks in the range 5 to 70 degrees two-theta, by angle:
2θ 13.60, I = 100, (1 0 1)
2θ 30.24, I = 13, (3 -1 1)
2θ 33.50, I = 26, (3 -2 2)
2θ 40.89, I = 20, (4 -3 1)
2θ 46.07, I = 32, (2 2 3)
2θ 51.84, I = 12, (5 -3 2)